Diffraction record for HoTmV2O8. The X-ray diffraction stick pattern is calculated, not measured: it uses a cell relaxed with GGA+U and copper Kα.
Peak positions follow from Bragg's law for the DFT cell and can differ from measured ones.

Largest 10 diffraction maxima, by intensity, 10° ≤ 2θ ≤ 90°:
| two_theta | d/Å | I/Imax |
| --- | --- | --- |
| 24.91 | 3.575 | 100 |
| 33.45 | 2.679 | 72 |
| 49.58 | 1.839 | 60 |
| 18.74 | 4.734 | 46 |
| 35.51 | 2.528 | 22 |
| 62.46 | 1.487 | 17 |
| 51.10 | 1.787 | 16 |
| 31.36 | 2.853 | 16 |
| 40.45 | 2.230 | 16 |
| 57.66 | 1.599 | 14 |

Structure:
Unit cell a=5.9614 b=5.9614 c=5.9614 alpha=106.31 beta=106.31 gamma=116.00
Fractional coordinates of all 12 atoms:
Ho 0.0000 0.0000 0.0000
Tm 0.7500 0.2500 0.5000
V 0.2500 0.7500 0.5000
V 0.5000 0.5000 0.0000
O 0.0719 0.3867 0.3148
O 0.0719 0.7572 0.6852
O 0.1369 0.3239 0.8130
O 0.2428 0.9281 0.3148
O 0.5109 0.3239 0.1870
O 0.6133 0.9281 0.6852
O 0.6761 0.4891 0.8130
O 0.6761 0.8631 0.1870